Record 1
Structure and calculated X-ray powder pattern of Ba6Na2Mn2Nb2O17 (DFT lattice parameters and positions (PBE+U); Cu Kα X-rays).
No peak broadening, texture or thermal motion is included.

Peak list (10 most intense, 10 to 90 degrees two-theta, by angle)
h k l  2theta  d (Å)  I_rel
1 0 4  20.7  4.284  21.0
1 0 7  26.8  3.330  26.3
1 0 8  29.1  3.066  50.7
1 1 0  29.9  2.993  100.0
2 0 7  40.5  2.226  14.7
2 0 8  42.2  2.142  29.8
1 1 10  42.4  2.134  13.0
2 1 8  52.5  1.742  17.6
3 0 0  53.0  1.728  19.4
2 2 0  62.0  1.497  18.4

Structure:
Lattice parameters (Å, degrees): 5.9862 5.9862 30.4219 90.00 90.00 120.00
Element x y z (fractional)
Ba  0.0000  0.0000  0.0000
Ba  0.0000  0.0000  0.2500
Ba  0.0000  0.0000  0.5000
Ba  0.0000  0.0000  0.7500
Ba  0.3333  0.6667  0.0901
Ba  0.3333  0.6667  0.4099
Ba  0.3333  0.6667  0.6809
Ba  0.3333  0.6667  0.8191
Ba  0.6667  0.3333  0.1809
Ba  0.6667  0.3333  0.3191
Ba  0.6667  0.3333  0.5901
Ba  0.6667  0.3333  0.9099
Na  0.0000  0.0000  0.1247
Na  0.0000  0.0000  0.3753
Na  0.0000  0.0000  0.6247
Na  0.0000  0.0000  0.8753
Mn  0.3333  0.6667  0.5520
Mn  0.3333  0.6667  0.9480
Mn  0.6667  0.3333  0.0520
Mn  0.6667  0.3333  0.4480
Nb  0.3333  0.6667  0.2014
Nb  0.3333  0.6667  0.2986
Nb  0.6667  0.3333  0.7014
Nb  0.6667  0.3333  0.7986
O  0.0270  0.5135  0.2500
O  0.1744  0.3488  0.1695
O  0.1744  0.3488  0.3305
O  0.1744  0.8256  0.1695
O  0.1744  0.8256  0.3305
O  0.1777  0.3554  0.5724
O  0.1777  0.3554  0.9276
O  0.1777  0.8223  0.5724
O  0.1777  0.8223  0.9276
O  0.3333  0.6667  0.0039
O  0.3333  0.6667  0.4961
O  0.3488  0.1744  0.6695
O  0.3488  0.1744  0.8305
O  0.3554  0.1777  0.0724
O  0.3554  0.1777  0.4276
O  0.4865  0.5135  0.2500
O  0.4865  0.9730  0.2500
O  0.5135  0.0270  0.7500
O  0.5135  0.4865  0.7500
O  0.6446  0.8223  0.5724
O  0.6446  0.8223  0.9276
O  0.6512  0.8256  0.1695
O  0.6512  0.8256  0.3305
O  0.6667  0.3333  0.5039
O  0.6667  0.3333  0.9961
O  0.8223  0.1777  0.0724
O  0.8223  0.1777  0.4276
O  0.8223  0.6446  0.0724
O  0.8223  0.6446  0.4276
O  0.8256  0.1744  0.6695
O  0.8256  0.1744  0.8305
O  0.8256  0.6512  0.6695
O  0.8256  0.6512  0.8305
O  0.9730  0.4865  0.7500

---

Record 2
Structure and calculated X-ray powder pattern of MgZn2Cr2O8 (DFT lattice parameters and positions (PBE+U); Cu Kα X-rays).
No peak broadening, texture or thermal motion is included.

Peak list (10 most intense, 10 to 90 degrees two-theta, by angle)
h k l  2theta  d (Å)  I_rel
1 0 0  18.2  4.878  71.0
0 1 1  23.1  3.850  47.9
1 1 -1  23.2  3.829  33.9
1 0 -2  31.9  2.802  59.1
1 2 -1  34.0  2.633  100.0
2 0 0  36.9  2.439  16.3
2 2 -1  43.3  2.088  19.2
2 2 1  57.9  1.592  20.2
1 2 -3  58.2  1.586  18.6
3 2 -1  58.2  1.584  16.8

Structure:
Lattice parameters (Å, degrees): 5.5994 6.2640 5.6053 90.00 119.43 90.00
Element x y z (fractional)
Mg  0.0000  0.0000  0.0000
Zn  0.4685  0.2756  0.2184
Zn  0.4685  0.7244  0.2184
Cr  0.0924  0.5000  0.5321
Cr  0.4719  0.0000  0.7263
O  0.2978  0.5000  0.8950
O  0.3012  0.5000  0.3735
O  0.3138  0.0000  0.9331
O  0.3226  0.0000  0.3663
O  0.6917  0.2076  0.8376
O  0.6917  0.7924  0.8376
O  0.8730  0.2854  0.4210
O  0.8730  0.7146  0.4210